1.
For Nb2Cr3Os, a cell relaxed with PBE gives the calculated powder diffraction line list in this record (Cu Kα X-rays).

Largest 8 diffraction maxima, in order of falling intensity, 10° ≤ 2θ ≤ 90°:
2theta, d_spacing, Rel. int.
42.7, 2.117, 100
36.5, 2.459, 58
41.9, 2.155, 53
45.0, 2.016, 37
25.3, 3.519, 25
22.1, 4.031, 21
70.0, 1.344, 19
75.5, 1.259, 18

Crystal structure
Unit cell a=8.5105 b=4.9220 c=5.0428 alpha=90.00 beta=124.33 gamma=90.00
Space group C2/m (No. 12)
Inequivalent atoms, fractional coordinates:
Nb  0.1244  0.0000  0.3740
Cr  0.0000  0.5000  0.0000
Cr  0.2500  0.2500  0.0000
Os  0.0000  0.5000  0.5000

=====

2.
For NbCrPd14, a cell relaxed with PBE gives the calculated powder diffraction line list in this record (Cu Kα X-rays).

Largest 8 diffraction maxima, in order of falling intensity, 10° ≤ 2θ ≤ 90°:
2theta, d_spacing, Rel. int.
39.6, 2.278, 100
45.9, 1.979, 33
80.6, 1.192, 24
67.2, 1.393, 20
46.3, 1.961, 16
81.2, 1.184, 11
85.2, 1.139, 10
66.9, 1.399, 10

Crystal structure
Unit cell a=5.5965 b=5.5965 c=7.8422 alpha=90.00 beta=90.00 gamma=90.00
Space group P4/mmm (No. 123)
Inequivalent atoms, fractional coordinates:
Nb  0.0000  0.0000  0.0000
Cr  0.5000  0.5000  0.0000
Pd  0.0000  0.0000  0.5000
Pd  0.0000  0.5000  0.0000
Pd  0.0000  0.5000  0.5000
Pd  0.2502  0.2502  0.2434
Pd  0.5000  0.5000  0.5000

=====

3.
For Rb2NbCr2Se6, a cell relaxed with PBE gives the calculated powder diffraction line list in this record (Cu Kα X-rays).

Largest 8 diffraction maxima, in order of falling intensity, 10° ≤ 2θ ≤ 90°:
2theta, d_spacing, Rel. int.
31.3, 2.862, 100
10.8, 8.182, 65
31.5, 2.840, 50
48.9, 1.861, 34
40.7, 2.217, 24
37.8, 2.381, 21
48.9, 1.863, 18
59.3, 1.558, 16

Crystal structure
Unit cell a=6.4449 b=11.1774 c=8.4359 alpha=90.00 beta=104.10 gamma=90.00
Space group C2/m (No. 12)
Inequivalent atoms, fractional coordinates:
Rb  0.0000  0.1637  0.0000
Nb  0.0000  0.0000  0.5000
Cr  0.0000  0.3328  0.5000
Se  0.2105  0.5000  0.6777
Se  0.2295  0.1704  0.6769

=====

4.
For NbCr2Ru, a cell relaxed with PBE gives the calculated powder diffraction line list in this record (Cu Kα X-rays).

Largest 6 diffraction maxima, in order of falling intensity, 10° ≤ 2θ ≤ 90°:
2theta, d_spacing, Rel. int.
42.2, 2.141, 100
77.2, 1.236, 31
61.2, 1.514, 16
29.5, 3.028, 12
69.4, 1.354, 5
52.3, 1.748, 3

Crystal structure
Unit cell a=6.0551 b=6.0551 c=6.0551 alpha=90.00 beta=90.00 gamma=90.00
Space group Fm-3m (No. 225)
Inequivalent atoms, fractional coordinates:
Nb  0.0000  0.0000  0.0000
Cr  0.2500  0.2500  0.2500
Ru  0.0000  0.0000  0.5000

=====

5.
For NbCrS3, a cell relaxed with PBE gives the calculated powder diffraction line list in this record (Cu Kα X-rays).

Largest 8 diffraction maxima, in order of falling intensity, 10° ≤ 2θ ≤ 90°:
2theta, d_spacing, Rel. int.
13.1, 6.748, 100
33.9, 2.642, 34
29.7, 3.007, 21
36.4, 2.469, 20
30.9, 2.893, 17
53.3, 1.719, 12
34.5, 2.600, 12
54.1, 1.695, 9

Crystal structure
Unit cell a=5.9313 b=10.5469 c=6.8994 alpha=90.00 beta=102.04 gamma=90.00
Space group C2/m (No. 12)
Inequivalent atoms, fractional coordinates:
Nb  0.0000  0.1345  0.0000
Cr  0.0627  0.5000  0.1431
S  0.2329  0.3155  0.2205
S  0.2429  0.0000  0.2629

=====

6.
For Nb2CrSe6, a cell relaxed with PBE gives the calculated powder diffraction line list in this record (Cu Kα X-rays).

Largest 8 diffraction maxima, in order of falling intensity, 10° ≤ 2θ ≤ 90°:
2theta, d_spacing, Rel. int.
33.3, 2.692, 100
39.3, 2.295, 75
31.0, 2.885, 74
34.1, 2.629, 71
32.8, 2.732, 70
45.1, 2.010, 69
36.7, 2.448, 67
33.5, 2.674, 57

Crystal structure
Unit cell a=6.1774 b=6.3762 c=11.5567 alpha=90.00 beta=120.89 gamma=90.00
Space group P2_1/c (No. 14)
Inequivalent atoms, fractional coordinates:
Nb  0.1789  0.1349  0.2466
Cr  0.5000  0.0000  0.0000
Se  0.0855  0.1772  0.9197
Se  0.2364  0.6673  0.9181
Se  0.4383  0.0437  0.7659

=====

7.
For Nb2CrTe4Se2, a cell relaxed with PBE gives the calculated powder diffraction line list in this record (Cu Kα X-rays).

Largest 8 diffraction maxima, in order of falling intensity, 10° ≤ 2θ ≤ 90°:
2theta, d_spacing, Rel. int.
35.4, 2.536, 100
28.6, 3.120, 66
12.2, 7.256, 51
50.7, 1.802, 50
33.1, 2.707, 50
44.2, 2.051, 31
41.0, 2.203, 26
38.0, 2.366, 24

Crystal structure
Unit cell a=3.6031 b=3.6031 c=21.7682 alpha=90.00 beta=90.00 gamma=120.00
Space group P3m1 (No. 156)
Inequivalent atoms, fractional coordinates:
Nb  0.0000  0.0000  0.0000
Nb  0.3333  0.6667  0.3408
Cr  0.3333  0.6667  0.6924
Te  0.0000  0.0000  0.2544
Te  0.0000  0.0000  0.4279
Te  0.3333  0.6667  0.0869
Te  0.3333  0.6667  0.9137
Se  0.0000  0.0000  0.6243
Se  0.0000  0.0000  0.7610

=====

8.
For NbCr4Si, a cell relaxed with PBE gives the calculated powder diffraction line list in this record (Cu Kα X-rays).

Largest 8 diffraction maxima, in order of falling intensity, 10° ≤ 2θ ≤ 90°:
2theta, d_spacing, Rel. int.
44.0, 2.056, 100
44.5, 2.037, 92
41.4, 2.180, 77
36.8, 2.440, 37
11.6, 7.631, 28
69.5, 1.353, 27
78.4, 1.220, 25
77.1, 1.237, 24

Crystal structure
Unit cell a=4.8805 b=4.8805 c=7.6315 alpha=90.00 beta=90.00 gamma=120.00
Space group P-3m1 (No. 164)
Inequivalent atoms, fractional coordinates:
Nb  0.3333  0.6667  0.4338
Cr  0.0000  0.0000  0.0000
Cr  0.0000  0.0000  0.5000
Cr  0.1715  0.3431  0.7628
Si  0.3333  0.6667  0.0698

=====

9.
For NbCrSi, a cell relaxed with PBE gives the calculated powder diffraction line list in this record (Cu Kα X-rays).

Largest 8 diffraction maxima, in order of falling intensity, 10° ≤ 2θ ≤ 90°:
2theta, d_spacing, Rel. int.
41.5, 2.176, 100
38.3, 2.349, 97
64.8, 1.440, 23
26.8, 3.325, 23
47.3, 1.921, 20
77.8, 1.228, 18
71.5, 1.319, 16
31.1, 2.879, 15

Crystal structure
Unit cell a=6.6535 b=6.6535 c=3.3163 alpha=90.00 beta=90.00 gamma=120.00
Space group P-62m (No. 189)
Inequivalent atoms, fractional coordinates:
Nb  0.0000  0.5956  0.0000
Cr  0.0000  0.2536  0.5000
Si  0.0000  0.0000  0.0000
Si  0.3333  0.6667  0.5000

=====

10.
For ThNbCrSi2, a cell relaxed with PBE gives the calculated powder diffraction line list in this record (Cu Kα X-rays).

Largest 8 diffraction maxima, in order of falling intensity, 10° ≤ 2θ ≤ 90°:
2theta, d_spacing, Rel. int.
35.2, 2.549, 100
23.4, 3.803, 62
32.5, 2.755, 54
44.9, 2.020, 32
46.0, 1.972, 25
56.5, 1.629, 23
31.7, 2.825, 23
66.2, 1.411, 22

Crystal structure
Unit cell a=4.0391 b=4.0391 c=11.2985 alpha=90.00 beta=90.00 gamma=90.00
Space group I-4m2 (No. 119)
Inequivalent atoms, fractional coordinates:
Th  0.0000  0.0000  0.0000
Nb  0.0000  0.5000  0.7500
Cr  0.0000  0.5000  0.2500
Si  0.0000  0.0000  0.3902

=====

11.
For NbTl3Cr2Te6, a cell relaxed with PBE gives the calculated powder diffraction line list in this record (Cu Kα X-rays).

Largest 8 diffraction maxima, in order of falling intensity, 10° ≤ 2θ ≤ 90°:
2theta, d_spacing, Rel. int.
33.5, 2.679, 100
27.2, 3.275, 95
43.7, 2.070, 49
56.2, 1.638, 49
33.5, 2.674, 34
52.1, 1.754, 27
24.8, 3.585, 17
70.5, 1.336, 17

Crystal structure
Unit cell a=7.1671 b=12.4233 c=8.0470 alpha=90.00 beta=90.10 gamma=90.00
Space group C2/m (No. 12)
Inequivalent atoms, fractional coordinates:
Nb  0.0000  0.0000  0.0000
Tl  0.0000  0.0000  0.5000
Tl  0.0000  0.3338  0.5000
Cr  0.0000  0.3333  0.0000
Te  0.1589  0.5000  0.8152
Te  0.1699  0.1704  0.8149